# NaAgSn
Simulated PXRD pattern, CuKα. Input: a DFT-relaxed cell (PBE, Alexandria).

Structural model:
a = 4.9529 Å, b = 4.9529 Å, c = 3.2724 Å
α = 90.00°, β = 90.00°, γ = 120.00°
Sites, in units of the cell vectors:
Na 0.0000 0.0000 0.0000
Ag 0.6667 0.3333 0.5000
Sn 0.3333 0.6667 0.5000

Principal peaks in the range 10 to 90 degrees two-theta, sorted by position:
(1 0 0), 4.289 Å, rel. 52.5
(0 0 1), 3.272 Å, rel. 46.2
(1 0 1), 2.602 Å, rel. 69.1
(1 1 0), 2.476 Å, rel. 100.0
(1 1 1), 1.975 Å, rel. 67.4
(2 0 1), 1.794 Å, rel. 22.4
(2 1 1), 1.453 Å, rel. 22.1
(3 0 0), 1.430 Å, rel. 17.5
(1 1 2), 1.365 Å, rel. 30.0
(3 0 1), 1.310 Å, rel. 18.0
(2 2 0), 1.238 Å, rel. 10.9
(2 2 1), 1.158 Å, rel. 12.7